No. 1
Diffraction record for ThB2IrRh7. The X-ray powder pattern is simulated, not measured: it uses a structure optimized by DFT (PBE) and Cu Kα X-rays.
Kinematic intensities with the Lorentz-polarization factor, no thermal factor.

Main lines, sorted by position (15° ≤ 2θ ≤ 90°):
- hkl 1 0 2, 27.59 deg, I 169
- hkl 0 0 4, 33.45 deg, I 164
- hkl 1 1 2, 35.52 deg, I 1000
- hkl 1 0 4, 40.35 deg, I 374
- hkl 2 0 0, 44.71 deg, I 407
- hkl 2 0 4, 56.97 deg, I 128
- hkl 2 1 4, 61.78 deg, I 117
- hkl 2 0 5, 63.13 deg, I 105
- hkl 2 2 0, 65.07 deg, I 132
- hkl 3 1 2, 76.38 deg, I 216

Cell and atoms:
Cell lengths 4.054, 4.054, 10.716 Å; angles 90.00, 90.00, 90.00 degrees
Space group P4/mmm (No. 123)
Inequivalent atoms, fractional coordinates:
Th 0.000 0.000 0.000 (multiplicity 1)
B 0.500 0.500 0.196 (multiplicity 2)
Ir 0.000 0.000 0.500 (multiplicity 1)
Rh 0.000 0.500 0.218 (multiplicity 4)
Rh 0.500 0.500 0.000 (multiplicity 1)
Rh 0.500 0.500 0.390 (multiplicity 2)

---

No. 2
Diffraction record for ThB2IrRu. The X-ray powder pattern is simulated, not measured: it uses a structure optimized by DFT (PBE) and Cu Kα X-rays.
Kinematic intensities with the Lorentz-polarization factor, no thermal factor.

Main lines, sorted by position (15° ≤ 2θ ≤ 90°):
- hkl 1 0 1, 24.42 deg, I 590
- hkl 1 0 3, 35.95 deg, I 273
- hkl 0 0 4, 37.06 deg, I 248
- hkl 1 1 2, 37.26 deg, I 1000
- hkl 2 0 0, 46.15 deg, I 297
- hkl 2 1 1, 52.89 deg, I 157
- hkl 2 1 3, 59.84 deg, I 127
- hkl 2 0 4, 60.61 deg, I 243
- hkl 1 1 6, 66.93 deg, I 196
- hkl 3 1 2, 79.54 deg, I 229

Cell and atoms:
Cell lengths 3.934, 3.934, 9.703 Å; angles 90.00, 90.00, 90.00 degrees
Space group I-4m2 (No. 119)
Inequivalent atoms, fractional coordinates:
Th 0.000 0.000 0.000 (multiplicity 2)
B 0.000 0.000 0.345 (multiplicity 4)
Ir 0.000 0.500 0.750 (multiplicity 2)
Ru 0.000 0.500 0.250 (multiplicity 2)